(1)
This entry pairs a crystal structure of LiCoP2O7 with its calculated X-ray diffraction stick pattern. Radiation: CuKα. Structure: a cell relaxed with GGA+U.
Neutral-atom scattering factors, no anomalous dispersion.

Largest 10 diffraction maxima, low angle first, 10° ≤ 2θ ≤ 80°:
11.1 deg, intensity 100, (0 1 1); 16.7 deg, intensity 44, (1 0 -1); 17.7 deg, intensity 76, (1 0 1); 18.5 deg, intensity 57, (0 0 2); 20.8 deg, intensity 37, (1 -1 0); 22.2 deg, intensity 49, (0 2 2); 23.5 deg, intensity 76, (1 2 2); 25.3 deg, intensity 37, (0 1 -2); 30.8 deg, intensity 51, (0 3 2); 34.8 deg, intensity 33, (2 2 -1)

Structure:
Unit cell a=6.3874 b=9.2125 c=10.5726 alpha=65.27 beta=86.06 gamma=72.88
Space group P1 (No. 1)
One atom of each set of equivalent atoms:
Li 0.0000 0.0000 0.0000 x1
Li 0.0787 0.7758 0.5422 x1
Li 0.4541 0.3553 0.5043 x1
Li 0.6739 0.7869 0.0739 x1
Co 0.2957 0.9414 0.2735 x1
Co 0.3788 0.3394 0.2346 x1
Co 0.6449 0.3402 0.7427 x1
Co 0.7259 0.7417 0.7162 x1
P 0.0865 0.6609 0.2902 x1
P 0.1278 0.3915 0.7856 x1
P 0.3167 0.0366 0.5357 x1
P 0.4360 0.1438 0.0273 x1
P 0.6016 0.5343 0.9550 x1
P 0.7023 0.6512 0.4488 x1
P 0.9047 0.2790 0.1902 x1
P 0.9315 0.0274 0.6991 x1
O 0.0155 0.1025 0.1971 x1
O 0.0212 0.5756 0.7574 x1
O 0.0275 0.9501 0.8448 x1
O 0.0677 0.3548 0.2206 x1
O 0.0902 0.1202 0.5867 x1
O 0.1402 0.7663 0.3579 x1
O 0.2333 0.3033 0.9448 x1
O 0.2662 0.9375 0.4611 x1
O 0.2948 0.5171 0.3054 x1
O 0.3229 0.3715 0.6951 x1
O 0.3804 0.9825 0.0520 x1
O 0.4045 0.1810 0.4452 x1
O 0.4115 0.4994 0.0440 x1
O 0.4467 0.1406 0.1755 x1
O 0.4599 0.9126 0.6700 x1
O 0.5663 0.7699 0.3091 x1
O 0.5825 0.5364 0.8072 x1
O 0.6035 0.5126 0.5394 x1
O 0.6408 0.1667 0.9467 x1
O 0.6570 0.6954 0.9289 x1
O 0.7018 0.2939 0.2744 x1
O 0.7151 0.1739 0.6711 x1
O 0.7527 0.7492 0.5228 x1
O 0.8190 0.3831 0.0285 x1
O 0.8978 0.9043 0.6451 x1
O 0.9295 0.5621 0.4006 x1
O 0.9641 0.3032 0.7806 x1
O 0.9660 0.7657 0.1485 x1


(2)
This entry pairs a crystal structure of Li2CoP2O7 with its calculated X-ray diffraction stick pattern. Radiation: CuKα. Structure: a cell relaxed with GGA+U.
Neutral-atom scattering factors, no anomalous dispersion.

Largest 10 diffraction maxima, low angle first, 10° ≤ 2θ ≤ 80°:
13.6 deg, intensity 39, (0 2 0); 14.7 deg, intensity 20, (1 1 0); 18.2 deg, intensity 100, (1 0 1); 24.3 deg, intensity 23, (1 3 0); 29.4 deg, intensity 86, (1 1 2); 33.0 deg, intensity 20, (1 4 1); 38.2 deg, intensity 37, (2 4 0); 39.4 deg, intensity 12, (2 2 2); 60.0 deg, intensity 11, (3 5 -2); 60.2 deg, intensity 10, (3 5 2)

Structure:
Unit cell a=6.8043 b=13.0665 c=7.0216 alpha=90.00 beta=90.15 gamma=90.00
Space group P2/m (No. 10)
One atom of each set of equivalent atoms:
Li 0.0000 0.2311 0.0000 x2
Li 0.0000 0.2312 0.5000 x2
Li 0.5000 0.2689 0.0000 x2
Li 0.5000 0.2688 0.5000 x2
Co 0.0000 0.0000 0.0000 x1
Co 0.0000 0.0000 0.5000 x1
Co 0.5000 0.5000 0.0000 x1
Co 0.5000 0.5000 0.5000 x1
P 0.1853 0.3898 0.2497 x4
P 0.3149 0.1103 0.2483 x4
O 0.0302 0.3073 0.2497 x4
O 0.0739 0.5000 0.2494 x2
O 0.1829 0.1123 0.4280 x4
O 0.1854 0.1123 0.0662 x4
O 0.3160 0.3877 0.0689 x4
O 0.3159 0.3877 0.4318 x4
O 0.4265 0.0000 0.2492 x2
O 0.4702 0.1927 0.2502 x4